# Li3CaPd
Computed powder XRD pattern, copper Kα. Input: DFT lattice parameters and positions (GGA-PBE).

Largest 10 diffraction maxima, by intensity, 10 to 90 degrees two-theta:
| 2θ/deg | intensity |
| --- | --- |
| 13.61 | 100.0 |
| 33.96 | 47.5 |
| 30.05 | 36.0 |
| 22.82 | 35.3 |
| 30.96 | 33.0 |
| 41.13 | 28.5 |
| 41.82 | 18.3 |
| 46.61 | 16.9 |
| 62.07 | 16.1 |
| 44.35 | 15.4 |

Crystal structure
```
10
Lattice="4.085 0.000 0.000 0.000 4.085 0.000 0.000 0.000 13.010" Properties=species:S:1:pos:R:3 pbc="T T T"
Li 0.000 0.000 0.000
Li 0.000 2.043 2.157
Li 0.000 2.043 8.662
Li 2.043 0.000 2.157
Li 2.043 0.000 8.662
Li 2.043 2.043 6.505
Ca 0.000 0.000 4.826
Ca 2.043 2.043 11.331
Pd 0.000 0.000 10.419
Pd 2.043 2.043 3.914
```